Diffraction record for MgBe3. The PXRD pattern is computed, not measured: it uses a structure optimized by DFT (PBE) and Cu Kα.
Neutral-atom scattering factors, no anomalous dispersion.

Structural model:
a = 5.4676 Å, b = 5.4676 Å, c = 3.6279 Å
α = 90.00°, β = 90.00°, γ = 120.00°
Sites, in units of the cell vectors:
Mg: 0.3333 0.6667 0.2500
Mg: 0.6667 0.3333 0.7500
Be: 0.1316 0.2633 0.7500
Be: 0.1316 0.8684 0.7500
Be: 0.2633 0.1316 0.2500
Be: 0.7367 0.8684 0.7500
Be: 0.8684 0.1316 0.2500
Be: 0.8684 0.7367 0.2500

Principal peaks in the range 2θ from 10° to 90°, low angle first:
hkl  Position (°2θ)  d/Å  I/Imax
1 0 1  31.1  2.880  93
1 1 0  32.8  2.734  53
2 0 0  38.0  2.368  28
2 0 1  45.8  1.983  100
0 0 2  50.3  1.814  19
2 1 0  51.0  1.790  19
2 1 1  57.4  1.605  16
1 1 2  61.3  1.511  16
2 2 0  68.7  1.367  14
2 1 2  74.5  1.274  12
3 1 1  77.3  1.235  22
2 2 2  89.9  1.092  13